Computed powder diffractogram
Compound: BHF4
Radiation: Cu Kα
Structure: the PBE geometry in Alexandria
Peak positions follow from Bragg's law for the DFT cell and can differ from measured ones.

Crystal structure
a = 4.1515 Å, b = 4.1515 Å, c = 6.6008 Å
α = 90.00°, β = 90.00°, γ = 90.00°
Space group I-4 (No. 82)
Unique sites:
B 0.0000 0.0000 0.0000 x2
H 0.0000 0.5000 0.7500 x2
F 0.1494 0.7610 0.8784 x8

Principal peaks in the range 10 to 90 degrees two-theta, sorted by position:
| 2θ/deg | I_rel |
| --- | --- |
| 25.3 | 100 |
| 41.2 | 93 |
| 43.6 | 16 |
| 46.7 | 4 |
| 51.1 | 35 |
| 52.0 | 7 |
| 55.7 | 9 |
| 65.8 | 18 |
| 71.9 | 5 |
| 73.3 | 9 |
| 82.3 | 3 |
| 85.6 | 10 |